The following is a theoretical powder diffractogram of KNaTl5. It was derived from a structure optimized by DFT (PBE), using Cu Ka.
Peak positions follow from Bragg's law for the DFT cell and can differ from measured ones.

Cell: 6.310 6.310 6.971 Å, 90.00 90.00 119.36°
Element x y z (fractional)
K: 0.000 0.000 0.000
Na: 0.500 0.500 0.500
Tl: 0.000 0.000 0.500
Tl: 0.000 0.500 0.259
Tl: 0.000 0.500 0.741
Tl: 0.500 0.000 0.259
Tl: 0.500 0.000 0.741

Most intense lines, 5° ≤ 2θ ≤ 70°, in order of rising 2θ:
| two_theta | d [Å] | I_rel |
| --- | --- | --- |
| 16.12 | 5.499 | 18 |
| 16.27 | 5.446 | 51 |
| 30.44 | 2.937 | 100 |
| 32.56 | 2.750 | 78 |
| 32.89 | 2.723 | 38 |
| 38.28 | 2.351 | 50 |
| 41.84 | 2.159 | 20 |
| 51.34 | 1.780 | 44 |
| 63.16 | 1.472 | 23 |
| 66.83 | 1.400 | 20 |